This entry pairs a crystal structure of NdGePd3 with its computed powder diffractogram. Radiation: a wavelength of 1.5418 Å. Structure: a DFT-relaxed cell (GGA-PBE, Alexandria).
Intensities are scaled so that the largest is 100.

Largest 10 diffraction maxima, sorted by position, 2θ from 10° to 90°:
- 28.64 deg, d = 3.117 Å, I 12.0
- 29.93 deg, d = 2.986 Å, I 37.2
- 34.05 deg, d = 2.633 Å, I 19.6
- 36.53 deg, d = 2.460 Å, I 100.0
- 40.37 deg, d = 2.234 Å, I 31.1
- 51.06 deg, d = 1.789 Å, I 19.6
- 57.53 deg, d = 1.602 Å, I 22.9
- 59.29 deg, d = 1.559 Å, I 24.6
- 67.83 deg, d = 1.382 Å, I 16.3
- 71.68 deg, d = 1.317 Å, I 12.8

Cell and atoms:
```
NdGePd3
1.0
6.2344 0.0000 0.0000
-3.1172 5.3991 0.0000
0.0000 0.0000 11.9430
Nd Ge Pd
4 4 12
direct
0.0000 0.0000 0.0000
0.0000 0.0000 0.5000
0.3333 0.6667 0.2500
0.6667 0.3333 0.7500
0.3333 0.6667 0.6381
0.3333 0.6667 0.8619
0.6667 0.3333 0.1381
0.6667 0.3333 0.3619
0.0000 0.5000 0.0000
0.0000 0.5000 0.5000
0.1412 0.2825 0.7500
0.1412 0.8588 0.7500
0.2825 0.1412 0.2500
0.5000 0.0000 0.0000
0.5000 0.0000 0.5000
0.5000 0.5000 0.0000
0.5000 0.5000 0.5000
0.7175 0.8588 0.7500
0.8588 0.1412 0.2500
0.8588 0.7175 0.2500
```